Starting from a DFT-relaxed cell (PBE+U, Alexandria), the powder diffraction line list of LiMoAsO6 was simulated for copper Kα.
No peak broadening, texture or thermal motion is included.

Top 10 peaks for 10° ≤ 2θ ≤ 90°, by intensity:
2θ 20.80, I 100, (1 1 -1); 2θ 28.45, I 81, (1 2 1); 2θ 19.68, I 79, (0 1 2); 2θ 13.18, I 37, (0 1 1); 2θ 35.28, I 33, (0 3 2); 2θ 27.38, I 33, (0 1 3); 2θ 22.11, I 32, (0 2 1); 2θ 35.77, I 30, (2 1 0); 2θ 26.56, I 30, (0 2 2); 2θ 33.71, I 28, (1 1 3)

Cell and atoms:
```
data_LiMoAsO6
_chemical_formula_sum 'Li4 Mo4 As4 O24'
_symmetry_space_group_name_H-M 'P 1 21 1'
_symmetry_Int_Tables_number 4
_cell_length_a 5.275
_cell_length_b 8.719
_cell_length_c 10.591
_cell_angle_alpha 90.00
_cell_angle_beta 95.79
_cell_angle_gamma 90.00
loop_
_symmetry_equiv_pos_as_xyz
'x,y,z'
'-x,y+1/2,-z'
loop_
_atom_site_label
_atom_site_type_symbol
_atom_site_fract_x
_atom_site_fract_y
_atom_site_fract_z
_atom_site_occupancy
Li1 Li 0.038 0.000 0.130 1
Li2 Li 0.276 0.171 0.393 1
Mo1 Mo 0.121 0.863 0.842 1
Mo2 Mo 0.319 0.344 0.648 1
As1 As 0.165 0.575 0.389 1
As2 As 0.361 0.217 0.958 1
O1 O 0.038 0.398 0.710 1
O2 O 0.069 0.208 0.221 1
O3 O 0.112 0.141 0.560 1
O4 O 0.113 0.532 0.228 1
O5 O 0.153 0.356 0.992 1
O6 O 0.232 0.398 0.461 1
O7 O 0.247 0.034 0.983 1
O8 O 0.337 0.888 0.733 1
O9 O 0.343 0.723 0.956 1
O10 O 0.405 0.703 0.429 1
O11 O 0.441 0.228 0.804 1
O12 O 0.495 0.009 0.328 1
```